# 1
The following is a computed X-ray powder pattern of Cu3BrF4. It was derived from a DFT-relaxed cell (PBE, Alexandria), using copper Kα.

Largest 10 diffraction maxima, by angle, 2θ = 15–90°:
| d (Å) | 2θ (°) | I_rel |
| --- | --- | --- |
| 3.772 | 23.6 | 18.4 |
| 3.139 | 28.4 | 51.2 |
| 3.023 | 29.5 | 100.0 |
| 2.934 | 30.5 | 33.9 |
| 2.652 | 33.8 | 28.7 |
| 2.222 | 40.6 | 26.1 |
| 2.119 | 42.7 | 24.3 |
| 1.886 | 48.2 | 19.2 |
| 1.872 | 48.6 | 47.3 |
| 1.600 | 57.6 | 21.7 |

Atomic structure:
Unit cell a=6.667 b=6.667 c=7.391 alpha=105.30 beta=105.30 gamma=46.47
Positions (direct):
Cu1 0.000 0.000 0.000
Cu2 0.000 0.000 0.500
Cu3 0.298 0.298 0.113
Cu4 0.298 0.298 0.613
Cu5 0.702 0.702 0.387
Cu6 0.702 0.702 0.887
Br1 0.311 0.689 0.750
Br2 0.689 0.311 0.250
F1 0.038 0.693 0.036
F2 0.117 0.463 0.355
F3 0.307 0.962 0.464
F4 0.463 0.117 0.855
F5 0.537 0.883 0.145
F6 0.693 0.038 0.536
F7 0.883 0.537 0.645
F8 0.962 0.307 0.964


# 2
The following is a computed X-ray powder pattern of HfUCd. It was derived from a DFT-relaxed cell (PBE, Alexandria), using copper Kα.

Largest 10 diffraction maxima, by angle, 2θ = 15–90°:
| d (Å) | 2θ (°) | I_rel |
| --- | --- | --- |
| 3.087 | 28.9 | 8.1 |
| 2.775 | 32.3 | 25.8 |
| 2.446 | 36.7 | 100.0 |
| 2.345 | 38.4 | 52.6 |
| 2.306 | 39.1 | 9.6 |
| 1.721 | 53.2 | 7.0 |
| 1.658 | 55.4 | 18.3 |
| 1.433 | 65.1 | 11.1 |
| 1.423 | 65.6 | 7.2 |
| 1.372 | 68.4 | 33.3 |

Atomic structure:
Unit cell a=3.316 b=3.316 c=25.349 alpha=90.00 beta=90.00 gamma=90.00
Positions (direct):
Hf1 0.000 0.000 0.139
Hf2 0.000 0.000 0.861
Hf3 0.500 0.500 0.361
Hf4 0.500 0.500 0.639
U1 0.000 0.000 0.277
U2 0.000 0.000 0.723
U3 0.500 0.500 0.223
U4 0.500 0.500 0.777
Cd1 0.000 0.000 0.443
Cd2 0.000 0.000 0.557
Cd3 0.500 0.500 0.057
Cd4 0.500 0.500 0.943


# 3
The following is a computed X-ray powder pattern of Ce5Si2Os. It was derived from a DFT-relaxed cell (PBE, Alexandria), using copper Kα.

Largest 10 diffraction maxima, by angle, 2θ = 15–90°:
| d (Å) | 2θ (°) | I_rel |
| --- | --- | --- |
| 3.422 | 26.0 | 38.7 |
| 2.968 | 30.1 | 19.9 |
| 2.629 | 34.1 | 36.0 |
| 2.621 | 34.2 | 19.7 |
| 2.593 | 34.6 | 75.5 |
| 2.585 | 34.7 | 100.0 |
| 2.271 | 39.7 | 19.4 |
| 1.846 | 49.4 | 28.6 |
| 1.709 | 53.6 | 37.9 |
| 1.495 | 62.1 | 18.5 |

Atomic structure:
Unit cell a=5.242 b=5.242 c=15.776 alpha=90.00 beta=90.00 gamma=120.71
Positions (direct):
Ce1 0.064 0.936 0.586
Ce2 0.064 0.936 0.914
Ce3 0.276 0.724 0.250
Ce4 0.401 0.599 0.616
Ce5 0.401 0.599 0.884
Ce6 0.599 0.401 0.116
Ce7 0.599 0.401 0.384
Ce8 0.724 0.276 0.750
Ce9 0.936 0.064 0.086
Ce10 0.936 0.064 0.414
Si1 0.273 0.727 0.063
Si2 0.273 0.727 0.437
Si3 0.727 0.273 0.563
Si4 0.727 0.273 0.937
Os1 0.049 0.951 0.750
Os2 0.951 0.049 0.250